This entry pairs a crystal structure of Li3MnSi2O7 with its computed PXRD pattern. Radiation: Cu Kα X-rays. Structure: a GGA+U-relaxed structure.
Kinematic intensities with the Lorentz-polarization factor, no thermal factor.

Peak list (10 most intense, 10° ≤ 2θ ≤ 80°, in order of rising 2θ)
2θ/deg	I (rel.)	hkl
13.32	52	0 0 1
18.95	100	0 1 0
23.92	65	1 0 -1
24.22	64	1 -1 1
25.31	65	0 1 1
34.84	57	1 1 -1
35.08	51	1 -2 1
35.71	54	-1 1 2
36.10	59	1 0 2
59.19	18	-2 3 1

Crystal structure
```
Li3MnSi2O7
1.0
4.694 0.000 0.000
-2.328 4.775 0.000
-0.094 -1.322 6.646
Li Mn Si O
3 1 2 7
direct
0.000 0.000 0.000
0.130 0.294 0.400
0.573 0.150 0.680
0.285 0.580 0.860
0.728 0.421 0.140
0.873 0.741 0.565
0.041 0.667 0.058
0.170 0.035 0.547
0.424 0.329 0.969
0.633 0.567 0.353
0.656 0.812 0.737
0.802 0.165 0.175
0.977 0.505 0.635
```